# 1
# BaV2GeO8
Simulated X-ray powder pattern, Cu Ka. Input: a cell relaxed with PBE+U.
Intensities are scaled so that the largest is 100.

Main lines, low angle first (10 to 90 degrees two-theta):
| 2theta | intensity |
| --- | --- |
| 19.2 | 75 |
| 22.7 | 57 |
| 31.1 | 100 |
| 33.6 | 67 |
| 41.8 | 21 |
| 46.4 | 38 |
| 58.5 | 35 |
| 60.0 | 17 |
| 61.2 | 24 |
| 79.1 | 14 |

Structure:
Lattice parameters (Å, degrees): 5.3383 5.3383 7.3555 90.00 90.00 120.00
Space group P-3 (No. 147)
Symmetry-distinct sites (fractional):
Ba: 0.0000 0.0000 0.0000
V: 0.3333 0.6667 0.7211
Ge: 0.0000 0.0000 0.5000
O: 0.0755 0.3123 0.6568
O: 0.3333 0.6667 0.9502

=====

# 2
# Ba2GeWO6
Simulated X-ray powder pattern, Cu Ka. Input: a cell relaxed with PBE+U.
Intensities are scaled so that the largest is 100.

Main lines, low angle first (10 to 90 degrees two-theta):
| 2theta | intensity |
| --- | --- |
| 18.9 | 13 |
| 31.0 | 100 |
| 31.2 | 49 |
| 44.1 | 15 |
| 44.8 | 29 |
| 55.0 | 20 |
| 55.5 | 39 |
| 64.7 | 18 |
| 82.1 | 9 |
| 89.8 | 11 |

Structure:
Lattice parameters (Å, degrees): 5.7263 5.7263 8.2131 90.00 90.00 90.00
Space group I4/mmm (No. 139)
Symmetry-distinct sites (fractional):
Ba: 0.0000 0.5000 0.2500
Ge: 0.0000 0.0000 0.0000
W: 0.0000 0.0000 0.5000
O: 0.0000 0.0000 0.2342
O: 0.2440 0.2440 0.0000